Structure and theoretical powder XRD pattern of CePrIn5 (a crystal structure in Alexandria, relaxed with PBE; Cu Kα (λ = 1.5418 Å)).
Lines closer than 0.1° are merged.

Main lines, low angle first (2θ from 15° to 90°):
- 2θ 20.62, intensity 13
- 2θ 33.95, intensity 100
- 2θ 34.05, intensity 50
- 2θ 48.93, intensity 18
- 2θ 60.69, intensity 17
- 2θ 60.89, intensity 36
- 2θ 71.46, intensity 11
- 2θ 81.77, intensity 15

Structure:
```
data_CePrIn5
_cell_length_a 5.2655
_cell_length_b 5.2655
_cell_length_c 7.4895
_cell_angle_alpha 90.00
_cell_angle_beta 90.00
_cell_angle_gamma 90.00
_symmetry_space_group_name_H-M 'P 1'
_symmetry_Int_Tables_number 1
_symmetry_space_group_name_Hall 'P 1'
loop_
_atom_site_label
_atom_site_type_symbol
_atom_site_fract_x
_atom_site_fract_y
_atom_site_fract_z
_atom_site_occupancy
Ce1 Ce 0.0000 0.0000 0.0000 1
Pr1 Pr 0.5000 0.5000 0.5000 1
In1 In 0.0000 0.0000 0.5000 1
In2 In 0.0000 0.5000 0.2378 1
In3 In 0.0000 0.5000 0.7622 1
In4 In 0.5000 0.0000 0.2378 1
In5 In 0.5000 0.0000 0.7622 1
```

=====

Structure and theoretical powder XRD pattern of Ta3MnSe8 (a crystal structure in Alexandria, relaxed with PBE; Cu Kα (λ = 1.5418 Å)).
Lines closer than 0.1° are merged.

Main lines, low angle first (2θ from 15° to 90°):
- 2θ 15.95, intensity 37
- 2θ 32.22, intensity 84
- 2θ 36.15, intensity 100
- 2θ 41.11, intensity 33
- 2θ 46.84, intensity 49
- 2θ 50.91, intensity 61
- 2θ 53.17, intensity 34
- 2θ 82.13, intensity 32

Structure:
```
data_Ta3MnSe8
_cell_length_a 7.1748
_cell_length_b 7.1748
_cell_length_c 12.4144
_cell_angle_alpha 90.00
_cell_angle_beta 90.00
_cell_angle_gamma 120.00
_symmetry_space_group_name_H-M 'P 1'
_symmetry_Int_Tables_number 1
_symmetry_space_group_name_Hall 'P 1'
loop_
_atom_site_label
_atom_site_type_symbol
_atom_site_fract_x
_atom_site_fract_y
_atom_site_fract_z
_atom_site_occupancy
Ta1 Ta 0.1657 0.3315 0.0000 1
Ta2 Ta 0.1657 0.8343 0.0000 1
Ta3 Ta 0.3315 0.1657 0.5000 1
Ta4 Ta 0.6685 0.8343 0.0000 1
Ta5 Ta 0.8343 0.1657 0.5000 1
Ta6 Ta 0.8343 0.6685 0.5000 1
Mn1 Mn 0.3333 0.6667 0.2451 1
Mn2 Mn 0.6667 0.3333 0.7451 1
Se1 Se 0.0000 0.0000 0.1309 1
Se2 Se 0.0000 0.0000 0.6309 1
Se3 Se 0.0023 0.5011 0.6287 1
Se4 Se 0.1682 0.3364 0.3803 1
Se5 Se 0.1682 0.8318 0.3803 1
Se6 Se 0.3333 0.6667 0.8715 1
Se7 Se 0.3364 0.1682 0.8803 1
Se8 Se 0.4989 0.5011 0.6287 1
Se9 Se 0.4989 0.9977 0.6287 1
Se10 Se 0.5011 0.0023 0.1287 1
Se11 Se 0.5011 0.4989 0.1287 1
Se12 Se 0.6636 0.8318 0.3803 1
Se13 Se 0.6667 0.3333 0.3715 1
Se14 Se 0.8318 0.1682 0.8803 1
Se15 Se 0.8318 0.6636 0.8803 1
Se16 Se 0.9977 0.4989 0.1287 1
```

=====

Structure and theoretical powder XRD pattern of CeEr5Bi4 (a crystal structure in Alexandria, relaxed with PBE; Cu Kα (λ = 1.5418 Å)).
Lines closer than 0.1° are merged.

Main lines, low angle first (2θ from 15° to 90°):
- 2θ 24.28, intensity 67
- 2θ 25.89, intensity 55
- 2θ 32.11, intensity 85
- 2θ 32.22, intensity 100
- 2θ 32.49, intensity 62
- 2θ 32.78, intensity 45
- 2θ 38.23, intensity 93
- 2θ 40.98, intensity 56

Structure:
```
data_CeEr5Bi4
_cell_length_a 10.1958
_cell_length_b 10.1958
_cell_length_c 7.7230
_cell_angle_alpha 101.40
_cell_angle_beta 101.40
_cell_angle_gamma 24.95
_symmetry_space_group_name_H-M 'P 1'
_symmetry_Int_Tables_number 1
_symmetry_space_group_name_Hall 'P 1'
loop_
_atom_site_label
_atom_site_type_symbol
_atom_site_fract_x
_atom_site_fract_y
_atom_site_fract_z
_atom_site_occupancy
Ce1 Ce 0.0000 0.0000 0.0000 1
Er1 Er 0.0000 0.0000 0.5000 1
Er2 Er 0.3033 0.3033 0.3883 1
Er3 Er 0.3103 0.3103 0.9143 1
Er4 Er 0.6897 0.6897 0.0857 1
Er5 Er 0.6967 0.6967 0.6117 1
Bi1 Bi 0.1366 0.1366 0.3272 1
Bi2 Bi 0.4356 0.4356 0.2272 1
Bi3 Bi 0.5644 0.5644 0.7728 1
Bi4 Bi 0.8634 0.8634 0.6728 1
```

=====

Structure and theoretical powder XRD pattern of Pr2SiPIr6 (a crystal structure in Alexandria, relaxed with PBE; Cu Kα (λ = 1.5418 Å)).
Lines closer than 0.1° are merged.

Main lines, low angle first (2θ from 15° to 90°):
- 2θ 22.38, intensity 32
- 2θ 27.76, intensity 32
- 2θ 30.49, intensity 71
- 2θ 34.72, intensity 39
- 2θ 38.93, intensity 100
- 2θ 40.04, intensity 45
- 2θ 41.58, intensity 48
- 2θ 43.30, intensity 33

Structure:
```
data_Pr2SiPIr6
_cell_length_a 5.4669
_cell_length_b 8.6873
_cell_length_c 7.9460
_cell_angle_alpha 90.00
_cell_angle_beta 90.00
_cell_angle_gamma 90.00
_symmetry_space_group_name_H-M 'P 1'
_symmetry_Int_Tables_number 1
_symmetry_space_group_name_Hall 'P 1'
loop_
_atom_site_label
_atom_site_type_symbol
_atom_site_fract_x
_atom_site_fract_y
_atom_site_fract_z
_atom_site_occupancy
Pr1 Pr 0.2500 0.0163 0.2138 1
Pr2 Pr 0.2500 0.4837 0.2138 1
Pr3 Pr 0.7500 0.5163 0.7862 1
Pr4 Pr 0.7500 0.9837 0.7862 1
Si1 Si 0.2500 0.7500 0.7600 1
Si2 Si 0.7500 0.2500 0.2400 1
P1 P 0.2500 0.2500 0.7486 1
P2 P 0.7500 0.7500 0.2514 1
Ir1 Ir 0.0053 0.7500 0.4922 1
Ir2 Ir 0.0094 0.7500 0.0182 1
Ir3 Ir 0.2500 0.5020 0.6009 1
Ir4 Ir 0.2500 0.9980 0.6009 1
Ir5 Ir 0.4906 0.7500 0.0182 1
Ir6 Ir 0.4947 0.7500 0.4922 1
Ir7 Ir 0.5053 0.2500 0.5078 1
Ir8 Ir 0.5094 0.2500 0.9818 1
Ir9 Ir 0.7500 0.0020 0.3991 1
Ir10 Ir 0.7500 0.4980 0.3991 1
Ir11 Ir 0.9906 0.2500 0.9818 1
Ir12 Ir 0.9947 0.2500 0.5078 1
```

=====

Structure and theoretical powder XRD pattern of P2Ru2SeN (a crystal structure in Alexandria, relaxed with PBE; Cu Kα (λ = 1.5418 Å)).
Lines closer than 0.1° are merged.

Main lines, low angle first (2θ from 15° to 90°):
- 2θ 19.31, intensity 95
- 2θ 32.24, intensity 37
- 2θ 34.48, intensity 85
- 2θ 39.31, intensity 38
- 2θ 42.83, intensity 51
- 2θ 43.42, intensity 100
- 2θ 49.04, intensity 46
- 2θ 59.45, intensity 29

Structure:
```
data_P2Ru2SeN
_cell_length_a 5.7623
_cell_length_b 5.7623
_cell_length_c 5.7623
_cell_angle_alpha 150.72
_cell_angle_beta 113.61
_cell_angle_gamma 74.17
_symmetry_space_group_name_H-M 'P 1'
_symmetry_Int_Tables_number 1
_symmetry_space_group_name_Hall 'P 1'
loop_
_atom_site_label
_atom_site_type_symbol
_atom_site_fract_x
_atom_site_fract_y
_atom_site_fract_z
_atom_site_occupancy
P1 P 0.0000 0.0000 0.0000 1
P2 P 0.6755 0.1755 0.5000 1
Ru1 Ru 0.0972 0.3724 0.7248 1
Ru2 Ru 0.6476 0.3724 0.2752 1
Se1 Se 0.2429 0.7429 0.5000 1
N1 N 0.5658 0.5658 0.0000 1
```

=====

Structure and theoretical powder XRD pattern of AcPuO4F (a crystal structure in Alexandria, relaxed with PBE; Cu Kα (λ = 1.5418 Å)).
Lines closer than 0.1° are merged.

Main lines, low angle first (2θ from 15° to 90°):
- 2θ 17.23, intensity 33
- 2θ 19.87, intensity 49
- 2θ 22.40, intensity 54
- 2θ 23.35, intensity 91
- 2θ 29.17, intensity 77
- 2θ 30.48, intensity 100
- 2θ 32.58, intensity 31
- 2θ 45.71, intensity 58

Structure:
```
data_AcPuO4F
_cell_length_a 6.4166
_cell_length_b 6.4166
_cell_length_c 6.8980
_cell_angle_alpha 93.74
_cell_angle_beta 93.74
_cell_angle_gamma 72.85
_symmetry_space_group_name_H-M 'P 1'
_symmetry_Int_Tables_number 1
_symmetry_space_group_name_Hall 'P 1'
loop_
_atom_site_label
_atom_site_type_symbol
_atom_site_fract_x
_atom_site_fract_y
_atom_site_fract_z
_atom_site_occupancy
Ac1 Ac 0.1932 0.1932 0.0851 1
Ac2 Ac 0.8068 0.8068 0.9149 1
Pu1 Pu 0.3635 0.3635 0.6258 1
Pu2 Pu 0.6365 0.6365 0.3742 1
O1 O 0.1360 0.4943 0.8259 1
O2 O 0.2014 0.2014 0.4894 1
O3 O 0.4458 0.4458 0.3140 1
O4 O 0.4943 0.1360 0.8259 1
O5 O 0.5057 0.8640 0.1741 1
O6 O 0.5542 0.5542 0.6860 1
O7 O 0.7986 0.7986 0.5106 1
O8 O 0.8640 0.5057 0.1741 1
F1 F 0.0284 0.0284 0.8179 1
F2 F 0.9716 0.9716 0.1821 1
```

=====

Structure and theoretical powder XRD pattern of SrCa2InPd (a crystal structure in Alexandria, relaxed with PBE; Cu Kα (λ = 1.5418 Å)).
Lines closer than 0.1° are merged.

Main lines, low angle first (2θ from 15° to 90°):
- 2θ 22.13, intensity 62
- 2θ 22.68, intensity 79
- 2θ 27.42, intensity 64
- 2θ 30.67, intensity 57
- 2θ 32.29, intensity 100
- 2θ 38.49, intensity 41
- 2θ 45.14, intensity 77
- 2θ 56.58, intensity 38

Structure:
```
data_SrCa2InPd
_cell_length_a 5.5442
_cell_length_b 5.5442
_cell_length_c 5.8295
_cell_angle_alpha 90.00
_cell_angle_beta 90.00
_cell_angle_gamma 90.00
_symmetry_space_group_name_H-M 'P 1'
_symmetry_Int_Tables_number 1
_symmetry_space_group_name_Hall 'P 1'
loop_
_atom_site_label
_atom_site_type_symbol
_atom_site_fract_x
_atom_site_fract_y
_atom_site_fract_z
_atom_site_occupancy
Sr1 Sr 0.0000 0.0000 0.0000 1
Ca1 Ca 0.0000 0.5000 0.5000 1
Ca2 Ca 0.5000 0.0000 0.5000 1
In1 In 0.5000 0.5000 0.0000 1
Pd1 Pd 0.0000 0.0000 0.5000 1
```

=====

Structure and theoretical powder XRD pattern of Sm4GeSb3 (a crystal structure in Alexandria, relaxed with PBE; Cu Kα (λ = 1.5418 Å)).
Lines closer than 0.1° are merged.

Main lines, low angle first (2θ from 15° to 90°):
- 2θ 24.68, intensity 4
- 2θ 28.57, intensity 100
- 2θ 40.85, intensity 76
- 2θ 50.60, intensity 27
- 2θ 59.14, intensity 13
- 2θ 66.98, intensity 35
- 2θ 74.38, intensity 26
- 2θ 88.52, intensity 8

Structure:
```
data_Sm4GeSb3
_cell_length_a 6.2484
_cell_length_b 6.2484
_cell_length_c 6.2484
_cell_angle_alpha 90.00
_cell_angle_beta 90.00
_cell_angle_gamma 90.00
_symmetry_space_group_name_H-M 'P 1'
_symmetry_Int_Tables_number 1
_symmetry_space_group_name_Hall 'P 1'
loop_
_atom_site_label
_atom_site_type_symbol
_atom_site_fract_x
_atom_site_fract_y
_atom_site_fract_z
_atom_site_occupancy
Sm1 Sm 0.0000 0.0000 0.0000 1
Sm2 Sm 0.0000 0.5000 0.5000 1
Sm3 Sm 0.5000 0.0000 0.5000 1
Sm4 Sm 0.5000 0.5000 0.0000 1
Ge1 Ge 0.5000 0.5000 0.5000 1
Sb1 Sb 0.0000 0.0000 0.5000 1
Sb2 Sb 0.0000 0.5000 0.0000 1
Sb3 Sb 0.5000 0.0000 0.0000 1
```